No. 1
# Cs2KMoF6
Computed powder X-ray diffraction pattern, Cu Ka. Input: a PBE+U-relaxed structure.

```
10
Lattice="0.000 4.707 4.707 4.707 0.000 4.707 4.707 4.707 0.000" Properties=species:S:1:pos:R:3 pbc="T T T"
Cs 2.354 2.354 2.354
Cs 7.061 7.061 7.061
K 0.000 0.000 0.000
Mo 4.707 4.707 4.707
F 4.707 4.707 2.600
F 4.707 2.600 4.707
F 6.815 4.707 4.707
F 2.600 4.707 4.707
F 4.707 6.815 4.707
F 4.707 4.707 6.815
```

Peak list (10 most intense, 2θ from 10° to 80°, in order of rising 2θ)
2θ/deg  d_spacing  I (rel.)
16.31  5.436  10
26.78  3.329  100
32.96  2.718  16
38.24  2.354  37
47.30  1.922  40
55.19  1.664  23
62.38  1.489  19
65.80  1.419  5
69.13  1.359  7
75.58  1.258  22

---

No. 2
# Li4Ti2Mn3O10
Computed powder X-ray diffraction pattern, Cu Ka. Input: a PBE+U-relaxed structure.

```
38
Lattice="6.627 0.000 0.000 0.122 8.021 0.000 3.195 1.109 7.351" Properties=species:S:1:pos:R:3 pbc="T T T"
Li 1.416 1.926 1.698
Li 2.669 7.725 2.968
Li 3.333 2.633 3.786
Li 4.088 5.266 4.416
Li 5.855 3.864 2.935
Li 6.610 6.497 3.565
Li 7.275 1.405 4.383
Li 8.528 7.204 5.654
Ti 2.189 4.901 2.354
Ti 4.583 8.341 5.015
Ti 5.361 0.789 2.337
Ti 7.754 4.229 4.997
Mn 0.061 4.011 0.000
Mn 0.686 6.923 0.796
Mn 5.965 6.154 6.526
Mn 3.313 0.000 0.000
Mn 3.979 2.976 0.826
Mn 9.258 2.207 6.556
O 1.992 5.830 3.987
O 3.075 3.828 5.613
O 2.684 0.818 4.796
O 4.116 6.722 6.147
O 4.412 1.432 6.889
O 2.160 3.655 0.538
O 2.538 6.437 1.216
O 3.416 1.328 1.719
O 3.866 4.196 2.620
O 4.720 7.363 3.393
O 5.224 1.767 3.958
O 6.078 4.934 4.731
O 6.528 7.802 5.632
O 7.406 2.693 6.136
O 7.783 5.475 6.813
O 5.531 7.698 0.462
O 5.828 2.408 1.204
O 7.259 8.312 2.556
O 6.868 5.302 1.739
O 7.951 3.300 3.365
```

Peak list (10 most intense, 2θ from 10° to 80°, in order of rising 2θ)
2θ/deg  d_spacing  I (rel.)
12.04  7.351  63
17.84  4.972  100
17.97  4.936  34
22.42  3.966  23
26.16  3.406  19
26.71  3.337  24
30.60  2.922  25
40.27  2.239  71
43.13  2.097  61
43.52  2.079  58

---

No. 3
# SrYCoO4
Computed powder X-ray diffraction pattern, Cu Ka. Input: a PBE+U-relaxed structure.

```
28
Lattice="5.423 0.000 0.000 -0.030 6.709 0.000 -0.106 -2.355 9.893" Properties=species:S:1:pos:R:3 pbc="T T T"
Sr 0.000 0.000 0.000
Sr -0.048 2.168 4.953
Sr 2.557 3.248 7.439
Sr 2.649 1.127 2.494
Y 2.751 -0.323 5.858
Y 2.788 4.248 1.004
Y 5.171 0.872 8.646
Y 5.218 5.439 3.637
Co -0.025 2.702 1.798
Co 2.578 -0.710 9.180
Co 2.625 3.785 4.234
Co 5.303 4.884 6.709
O -0.040 2.852 7.644
O 0.089 0.752 2.643
O 1.178 -0.980 7.797
O 1.311 3.647 2.831
O 1.291 4.485 5.368
O 1.360 2.319 0.447
O 2.494 1.733 5.165
O 2.574 6.345 0.144
O 2.813 1.198 8.654
O 2.960 5.799 3.606
O 3.902 -1.097 7.896
O 3.976 3.370 2.999
O 3.966 4.214 5.542
O 4.079 2.090 0.603
O 5.077 -0.085 5.634
O 5.124 4.459 0.794
```

Peak list (10 most intense, 2θ from 10° to 80°, in order of rising 2θ)
2θ/deg  d_spacing  I (rel.)
31.90  2.805  93
32.12  2.787  100
33.04  2.711  68
33.15  2.702  68
44.25  2.047  26
44.58  2.032  19
44.67  2.028  19
47.19  1.926  36
47.82  1.902  36
56.35  1.633  31

---

No. 4
# MgCrO9
Computed powder X-ray diffraction pattern, Cu Ka. Input: a PBE+U-relaxed structure.

```
22
Lattice="5.428 0.000 0.000 1.968 5.839 0.000 0.195 2.031 10.327" Properties=species:S:1:pos:R:3 pbc="T T T"
Mg 0.000 0.000 0.000
Mg 1.082 3.935 5.164
Cr 4.181 7.308 7.470
Cr 3.411 0.563 2.857
O 1.902 5.988 5.664
O 1.389 1.381 0.695
O 1.751 2.890 6.763
O 3.383 7.126 8.933
O 2.937 4.007 1.378
O 1.764 0.532 2.583
O 3.075 3.894 4.477
O 3.875 6.034 6.430
O 3.489 4.229 9.085
O 4.103 3.641 1.242
O 3.717 1.837 3.897
O 4.516 3.977 5.850
O 5.828 7.339 7.744
O 4.655 3.864 8.949
O 4.209 0.744 1.394
O 5.841 4.981 3.564
O 6.202 6.490 9.632
O 5.690 1.882 4.663
```

Peak list (10 most intense, 2θ from 10° to 80°, in order of rising 2θ)
2θ/deg  d_spacing  I (rel.)
15.47  5.730  80
17.25  5.141  30
20.06  4.427  54
20.82  4.267  42
23.88  3.727  100
25.35  3.513  40
27.29  3.268  43
29.32  3.046  28
32.38  2.765  38
34.05  2.633  40

---

No. 5
# LiFeF4
Computed powder X-ray diffraction pattern, Cu Ka. Input: a PBE+U-relaxed structure.

```
12
Lattice="6.498 0.000 0.000 0.000 6.878 0.000 0.000 0.000 3.093" Properties=species:S:1:pos:R:3 pbc="T T T"
Li 0.000 0.000 0.000
Li 3.249 3.439 0.000
Fe 0.000 3.439 1.547
Fe 3.249 0.000 1.547
F 0.000 2.138 0.000
F 0.000 4.740 0.000
F 1.349 0.000 1.547
F 1.900 3.439 1.547
F 3.249 1.301 0.000
F 3.249 5.578 0.000
F 4.597 3.439 1.547
F 5.149 0.000 1.547
```

Peak list (10 most intense, 2θ from 10° to 80°, in order of rising 2θ)
2θ/deg  d_spacing  I (rel.)
18.79  4.723  100
25.91  3.439  38
27.45  3.249  28
28.87  3.093  15
34.67  2.588  18
39.17  2.300  62
43.82  2.066  28
51.57  1.772  28
53.31  1.718  28
66.65  1.403  22

---

No. 6
# Li4CrTe3O12
Computed powder X-ray diffraction pattern, Cu Ka. Input: a PBE+U-relaxed structure.

```
20
Lattice="5.033 0.000 0.000 0.000 8.608 0.000 -0.056 0.000 5.223" Properties=species:S:1:pos:R:3 pbc="T T T"
Li 0.000 0.000 0.000
Li -0.028 2.863 2.611
Li 2.489 4.039 2.611
Li 2.517 7.592 0.000
Cr 2.489 0.684 2.611
Te 0.000 4.940 0.000
Te -0.028 6.727 2.611
Te 2.517 2.183 0.000
O 1.014 5.189 1.763
O 0.996 6.485 4.289
O 1.179 7.949 1.776
O 1.291 3.576 4.373
O 1.453 0.780 4.325
O 1.493 2.194 1.645
O 3.484 2.194 3.578
O 3.524 0.780 0.897
O 3.686 3.576 0.850
O 3.798 7.949 3.447
O 3.981 6.485 0.934
O 3.963 5.189 3.460
```

Peak list (10 most intense, 2θ from 10° to 80°, in order of rising 2θ)
2θ/deg  d_spacing  I (rel.)
19.88  4.465  41
20.44  4.345  100
32.19  2.781  34
32.40  2.764  33
34.34  2.611  10
35.70  2.515  22
40.13  2.247  14
40.46  2.230  14
51.22  1.783  13
51.51  1.774  14

---

No. 7
# Cr3P4O16
Computed powder X-ray diffraction pattern, Cu Ka. Input: a PBE+U-relaxed structure.

```
46
Lattice="7.589 0.000 0.000 0.000 7.756 0.000 -0.832 0.000 10.177" Properties=species:S:1:pos:R:3 pbc="T T T"
Cr 0.872 0.000 3.315
Cr 1.247 5.060 8.877
Cr 1.707 4.801 3.787
Cr 5.051 0.923 6.390
Cr 5.510 1.182 1.300
Cr 5.885 3.878 6.862
P 0.266 6.362 1.046
P -0.052 6.541 6.212
P 3.265 3.495 1.371
P 2.863 3.378 6.615
P 3.895 7.256 3.562
P 3.492 7.373 8.806
P 6.809 2.663 3.965
P 6.492 2.484 9.131
O -0.671 3.949 8.513
O -0.116 4.003 3.724
O 0.267 1.538 4.146
O 0.054 1.549 9.323
O 0.244 6.470 9.929
O 0.702 6.550 4.771
O 1.233 6.068 2.283
O 0.995 6.149 7.238
O 2.265 4.012 0.326
O 2.037 3.918 5.458
O 2.100 3.553 7.922
O 2.532 3.415 2.749
O 2.592 0.456 3.432
O 2.402 0.695 8.555
O 2.930 5.999 9.189
O 3.401 5.832 3.847
O 3.356 1.954 6.330
O 3.827 2.122 0.987
O 4.355 4.573 1.622
O 4.165 4.334 6.745
O 4.225 7.293 7.428
O 4.658 7.431 2.255
O 4.720 0.040 4.719
O 4.492 0.134 9.851
O 5.763 2.272 2.939
O 5.524 2.190 7.893
O 6.055 2.672 5.406
O 6.514 2.592 0.248
O 6.703 5.427 0.853
O 6.491 5.416 6.031
O 6.873 0.125 6.453
O 7.428 0.071 1.664
```

Peak list (10 most intense, 2θ from 10° to 80°, in order of rising 2θ)
2θ/deg  d_spacing  I (rel.)
16.37  5.415  100
21.83  4.071  47
23.28  3.821  73
24.70  3.605  45
26.22  3.399  74
30.76  2.907  43
33.09  2.708  21
35.28  2.544  23
39.08  2.305  21
50.61  1.804  25

---

No. 8
# BaNdCo2O6
Computed powder X-ray diffraction pattern, Cu Ka. Input: a PBE+U-relaxed structure.

```
10
Lattice="3.808 0.000 0.000 0.000 3.964 0.000 0.000 0.000 7.928" Properties=species:S:1:pos:R:3 pbc="T T T"
Ba 0.000 0.000 0.000
Nd 0.000 0.000 3.964
Co 1.904 1.982 2.002
Co 1.904 1.982 5.926
O 0.000 1.982 2.141
O 0.000 1.982 5.787
O 1.904 0.000 2.210
O 1.904 0.000 5.719
O 1.904 1.982 0.000
O 1.904 1.982 3.964
```

Peak list (10 most intense, 2θ from 10° to 80°, in order of rising 2θ)
2θ/deg  d_spacing  I (rel.)
22.43  3.964  13
31.93  2.803  53
32.60  2.746  100
39.94  2.258  26
45.78  1.982  34
47.76  1.904  15
57.33  1.607  41
58.61  1.575  19
66.74  1.402  10
68.31  1.373  19